For SrCo6O11, a PBE+U-relaxed structure gives the calculated X-ray powder pattern in this record (Cu Kα).
Peak positions follow from Bragg's law for the DFT cell and can differ from measured ones.

Structure:
```
data_SrCo6O11
_space_group_name_H-M_alt 'P 63/m m c'
_space_group_IT_number 194
_space_group_name_Hall '-P 6c 2c'
_cell_length_a 5.6392
_cell_length_b 5.6392
_cell_length_c 12.8179
_cell_angle_alpha 90.00
_cell_angle_beta 90.00
_cell_angle_gamma 120.00
loop_
_atom_site_label
_atom_site_fract_x
_atom_site_fract_y
_atom_site_fract_z
Sr1 0.3333 0.6667 0.2500
Co1 0.0000 0.0000 0.1491
Co2 0.0000 0.5000 0.0000
Co3 0.3333 0.6667 0.7500
O1 0.1431 0.2862 0.7500
O2 0.1756 0.3512 0.0790
O3 0.3333 0.6667 0.5783
```

The 10 most intense peaks (10 to 90 degrees two-theta), sorted by position:
h k l  Position (°2θ)  I (rel.)
0 0 4  27.84  29.4
1 1 0  31.74  46.2
1 0 4  33.45  97.3
1 1 2  34.76  100.0
2 0 2  39.49  55.9
2 0 3  42.65  28.9
2 0 6  57.30  73.6
2 1 4  57.63  48.6
3 0 2  58.50  20.3
2 2 0  66.30  43.2

For Sr6Co5O15, a PBE+U-relaxed structure gives the calculated X-ray powder pattern in this record (Cu Kα).
Peak positions follow from Bragg's law for the DFT cell and can differ from measured ones.

Structure:
```
data_Sr6Co5O15
_space_group_name_H-M_alt 'R 3 2'
_space_group_IT_number 155
_space_group_name_Hall 'R 3 2"'
_cell_length_a 9.5965
_cell_length_b 9.5965
_cell_length_c 12.4158
_cell_angle_alpha 90.00
_cell_angle_beta 90.00
_cell_angle_gamma 120.00
loop_
_atom_site_label
_atom_site_fract_x
_atom_site_fract_y
_atom_site_fract_z
Sr1 0.0000 0.3612 0.0000
Sr2 0.0000 0.6781 0.5000
Co1 0.0000 0.0000 0.0000
Co2 0.0000 0.0000 0.2055
Co3 0.0000 0.0000 0.4049
O1 0.0000 0.1568 0.5000
O2 0.0129 0.8512 0.6919
O3 0.0295 0.1596 0.1042
```

The 10 most intense peaks (10 to 90 degrees two-theta), sorted by position:
h k l  Position (°2θ)  I (rel.)
1 1 3  28.48  86.1
3 0 0  32.32  100.0
2 2 3  43.61  50.6
1 2 5  46.63  18.1
1 4 3  55.31  19.3
3 0 6  55.42  16.2
3 3 0  57.63  16.8
2 3 5  61.30  14.1
6 0 0  67.64  15.9
3 3 6  75.00  13.0

For Sr3TaCoO7, a PBE+U-relaxed structure gives the calculated X-ray powder pattern in this record (Cu Kα).
Peak positions follow from Bragg's law for the DFT cell and can differ from measured ones.

Structure:
```
data_Sr3TaCoO7
_space_group_name_H-M_alt 'P 1'
_space_group_IT_number 1
_cell_length_a 3.9659
_cell_length_b 12.4581
_cell_length_c 14.7407
_cell_angle_alpha 107.28
_cell_angle_beta 97.72
_cell_angle_gamma 99.13
loop_
_space_group_symop_operation_xyz
'x,y,z'
loop_
_atom_site_label
_atom_site_fract_x
_atom_site_fract_y
_atom_site_fract_z
Sr1 0.0000 0.0000 0.0000
Sr2 0.0403 0.2033 0.8779
Sr3 0.0940 0.4699 0.7190
Sr4 0.2483 0.2539 0.2526
Sr5 0.2895 0.4540 0.1261
Sr6 0.3441 0.7190 0.9700
Sr7 0.4972 0.4988 0.4953
Sr8 0.5484 0.7086 0.3810
Sr9 0.5933 0.9687 0.2190
Sr10 0.7501 0.7501 0.7511
Sr11 0.7915 0.9560 0.6281
Sr12 0.8441 0.2211 0.4688
Ta1 0.1963 0.9786 0.4145
Ta2 0.4456 0.2282 0.6640
Ta3 0.6954 0.4773 0.9141
Ta4 0.9455 0.7260 0.1654
Co1 0.1438 0.7183 0.5692
Co2 0.3921 0.9672 0.8175
Co3 0.6448 0.2196 0.0711
Co4 0.8944 0.4751 0.3147
O1 0.0308 0.6164 0.4411
O2 0.0710 0.8571 0.2866
O3 0.1276 0.6124 0.6426
O4 0.1436 0.2287 0.0589
O5 0.1769 0.8707 0.4837
O6 0.1973 0.4845 0.9107
O7 0.2178 0.0975 0.3398
O8 0.2749 0.8614 0.6889
O9 0.3226 0.1119 0.5340
O10 0.3719 0.8566 0.8884
O11 0.3984 0.4846 0.3108
O12 0.4226 0.1162 0.7292
O13 0.4465 0.7323 0.1615
O14 0.4705 0.3504 0.5916
O15 0.5201 0.1059 0.9346
O16 0.5721 0.3601 0.7847
O17 0.6182 0.1024 0.1335
O18 0.6516 0.7371 0.5647
O19 0.6724 0.3655 0.9794
O20 0.6964 0.9839 0.4097
O21 0.7204 0.5993 0.8425
O22 0.7660 0.3542 0.1789
O23 0.8217 0.6084 0.0358
O24 0.8711 0.3563 0.3859
O25 0.8972 0.9831 0.8119
O26 0.9216 0.6133 0.2309
O27 0.9471 0.2346 0.6603
O28 0.9695 0.8470 0.0931
```

The 10 most intense peaks (10 to 90 degrees two-theta), sorted by position:
h k l  Position (°2θ)  I (rel.)
0 2 -2  16.42  26.2
1 2 -3  30.61  85.1
0 4 0  30.74  84.3
1 1 2  32.04  100.0
0 5 -5  41.84  24.2
-2 1 1  45.76  28.9
0 3 5  46.14  28.0
1 6 -3  53.66  27.4
2 3 -1  56.14  31.6
1 5 2  56.38  23.2

For Sr3TaCoO7, a PBE+U-relaxed structure gives the calculated X-ray powder pattern in this record (Cu Kα).
Peak positions follow from Bragg's law for the DFT cell and can differ from measured ones.

Structure:
```
data_Sr3TaCoO7
_space_group_name_H-M_alt 'I m m 2'
_space_group_IT_number 44
_cell_length_a 3.9193
_cell_length_b 3.9780
_cell_length_c 21.6166
_cell_angle_alpha 90.00
_cell_angle_beta 90.00
_cell_angle_gamma 90.00
loop_
_space_group_symop_operation_xyz
'x,y,z'
'-x,-y,z'
'-x,y,z'
'x,-y,z'
'x+1/2,y+1/2,z+1/2'
'-x+1/2,-y+1/2,z+1/2'
'-x+1/2,y+1/2,z+1/2'
'x+1/2,-y+1/2,z+1/2'
loop_
_atom_site_label
_atom_site_fract_x
_atom_site_fract_y
_atom_site_fract_z
Sr1 0.0000 0.0000 0.0000
Sr2 0.0000 0.0000 0.1631
Sr3 0.0000 0.0000 0.3754
Ta1 0.0000 0.0000 0.7819
Co1 0.0000 0.0000 0.5754
O1 0.0000 0.0000 0.4847
O2 0.0000 0.0000 0.6934
O3 0.0000 0.0000 0.8790
O4 0.0000 0.5000 0.0858
O5 0.0000 0.5000 0.2880
O6 0.0000 0.5000 0.5865
O7 0.0000 0.5000 0.7871
```

The 10 most intense peaks (10 to 90 degrees two-theta), sorted by position:
h k l  Position (°2θ)  I (rel.)
0 0 4  16.40  26.5
0 1 5  30.54  85.9
1 0 5  30.79  84.1
1 1 0  32.06  100.0
0 0 10  41.79  24.3
0 2 0  45.61  29.2
2 0 0  46.34  29.1
1 1 10  53.63  33.1
1 2 5  56.04  31.8
2 1 5  56.51  31.0

For Sr3TaCoO7, a PBE+U-relaxed structure gives the calculated X-ray powder pattern in this record (Cu Kα).
Peak positions follow from Bragg's law for the DFT cell and can differ from measured ones.

Structure:
```
data_Sr3TaCoO7
_space_group_name_H-M_alt 'C 1 m 1'
_space_group_IT_number 8
_cell_length_a 5.5790
_cell_length_b 5.6015
_cell_length_c 21.3951
_cell_angle_alpha 90.00
_cell_angle_beta 90.02
_cell_angle_gamma 90.00
loop_
_space_group_symop_operation_xyz
'x,y,z'
'x,-y,z'
'x+1/2,y+1/2,z'
'x+1/2,-y+1/2,z'
loop_
_atom_site_label
_atom_site_fract_x
_atom_site_fract_y
_atom_site_fract_z
Sr1 0.0000 0.0000 0.0000
Sr2 0.0001 0.0000 0.1652
Sr3 0.9996 0.0000 0.7882
Sr4 0.0001 0.5000 0.2913
Sr5 0.0028 0.5000 0.5021
Sr6 0.4963 0.0000 0.6624
Ta1 0.0005 0.0000 0.3862
Ta2 0.0001 0.5000 0.8836
Co1 0.0001 0.0000 0.5854
Co2 0.0002 0.5000 0.0879
O1 0.9998 0.0000 0.2889
O2 0.0000 0.0000 0.4759
O3 0.0002 0.5000 0.1814
O4 0.9996 0.5000 0.7869
O5 0.0003 0.5000 0.9736
O6 0.0011 0.0000 0.6789
O7 0.2501 0.2499 0.0791
O8 0.2501 0.2502 0.3812
O9 0.2501 0.2500 0.8793
O10 0.2508 0.2507 0.5788
```

The 10 most intense peaks (10 to 90 degrees two-theta), sorted by position:
h k l  Position (°2θ)  I (rel.)
0 0 4  16.57  14.6
1 1 3  25.77  23.7
1 1 -5  30.79  100.0
0 2 0  31.95  30.1
2 0 0  32.09  29.8
2 2 0  45.92  34.2
2 0 -10  53.97  16.1
1 3 -5  56.22  18.7
3 1 -5  56.39  18.6
2 2 -10  64.15  15.0

- Which formula does entry 5 have?
  Sr3TaCoO7